[1]
The following is a simulated powder X-ray diffraction pattern of PrEr2Zn2Ga2. It was derived from a DFT-relaxed cell (GGA-PBE, Alexandria), using CuKα.

Crystal structure
```
PrEr2Zn2Ga2
1.0
2.2362 1.2911 9.2483
-2.2362 1.2911 9.2483
0.0000 -2.5822 9.2483
Pr Er Zn Ga
1 2 2 2
Cartesian
0.0000 0.0000 0.0000 Pr
0.0000 0.0000 3.5700 Er
0.0000 0.0000 24.1750 Er
0.0000 0.0000 11.2496 Zn
0.0000 0.0000 16.4954 Zn
0.0000 0.0000 7.1063 Ga
0.0000 0.0000 20.6388 Ga
```

Main lines, sorted by position (10 to 90 degrees two-theta):
2theta  Rel. int.
23.19  437
32.32  867
34.72  975
40.33  1000
49.26  134
52.60  218
54.25  271
65.49  337
68.30  197
69.72  254
73.31  222
87.16  181

***

[2]
The following is a simulated powder X-ray diffraction pattern of PmSmMgAu. It was derived from a DFT-relaxed cell (GGA-PBE, Alexandria), using CuKα.

Crystal structure
```
PmSmMgAu
1.0
3.7820 0.0000 0.0000
0.0000 3.7820 0.0000
0.0000 0.0000 7.4132
Pm Sm Mg Au
1 1 1 1
Cartesian
0.0000 0.0000 0.0000 Pm
0.0000 0.0000 3.4966 Sm
1.8910 1.8910 5.4444 Mg
1.8910 1.8910 1.7794 Au
```

Main lines, sorted by position (10 to 90 degrees two-theta):
2theta  Rel. int.
11.94  407
26.46  148
33.51  524
33.86  1000
35.69  130
43.76  118
48.12  191
60.13  385
60.81  176
71.24  110
80.27  86
80.47  84

***

[3]
The following is a simulated powder X-ray diffraction pattern of PuNi3H3. It was derived from a DFT-relaxed cell (GGA-PBE, Alexandria), using CuKα.

Crystal structure
```
PuNi3H3
1.0
0.0000 4.2911 4.2911
4.2911 0.0000 4.2911
4.2911 4.2911 0.0000
Pu Ni H
2 6 6
Cartesian
2.1456 2.1456 2.1456 Pu
6.4367 6.4367 6.4367 Pu
4.2911 4.2911 1.6693 Ni
4.2911 1.6693 4.2911 Ni
6.9129 4.2911 4.2911 Ni
1.6693 4.2911 4.2911 Ni
4.2911 6.9129 4.2911 Ni
4.2911 4.2911 6.9129 Ni
4.2911 4.2911 3.1402 H
4.2911 3.1402 4.2911 H
5.4420 4.2911 4.2911 H
3.1402 4.2911 4.2911 H
4.2911 5.4420 4.2911 H
4.2911 4.2911 5.4420 H
```

Main lines, sorted by position (10 to 90 degrees two-theta):
2theta  Rel. int.
17.90  162
20.70  438
29.44  693
36.26  1000
42.12  476
47.37  421
52.22  161
61.08  231
65.23  266
69.24  249
73.15  241
84.48  203

***

[4]
The following is a simulated powder X-ray diffraction pattern of Pu2GeS4. It was derived from a DFT-relaxed cell (GGA-PBE, Alexandria), using CuKα.

Crystal structure
```
Pu2GeS4
1.0
7.0488 -2.0053 0.0000
7.0488 2.0053 0.0000
-3.3904 0.0000 6.1637
Pu Ge S
2 1 4
Cartesian
2.4685 0.0000 1.3836 Pu
8.2386 0.0000 4.7800 Pu
5.3536 0.0000 3.0818 Ge
0.2622 0.0000 3.0440 S
5.0549 0.0000 0.3812 S
5.6522 0.0000 5.7825 S
10.4449 0.0000 3.1196 S
```

Main lines, sorted by position (10 to 90 degrees two-theta):
2theta  Rel. int.
14.34  1000
25.32  519
25.57  796
28.93  238
29.31  586
29.50  463
31.13  151
38.41  190
38.79  396
39.18  530
44.78  366
45.22  178